This entry pairs a crystal structure of Mg4H2O3 with its simulated powder diffractogram. Radiation: Cu Kα. Structure: the GGA-PBE geometry in Alexandria.

Main lines, by intensity (10 to 90 degrees two-theta):
2theta, I (rel.), hkl
50.33, 100, 0 5 1
33.43, 93, 2 0 0
35.38, 77, 1 4 0
28.59, 72, 1 3 0
51.96, 65, 2 3 1
38.59, 65, 0 3 1
42.25, 64, 1 3 1
60.66, 44, 3 0 1
35.72, 41, 1 1 1
61.78, 33, 2 5 1

a b c (Å): 5.361 11.521 2.937
angles (deg): 90.00 90.00 90.00
Space group Pnnm (No. 58)
Asymmetric unit:
Mg (0.183, 0.183, 0.000)
Mg (0.219, 0.427, 0.000)
H (0.112, 0.079, 0.500)
O (0.000, 0.500, 0.500)
O (0.203, 0.795, 0.000)